# CaCoSi2O7
Calculated powder diffraction line list, Cu Kα (weighted mean of Kα1 and Kα2). Input: DFT lattice parameters and positions (GGA+U).
Lines closer than 0.1° are merged.

Top 10 peaks for 2θ = 15–90°, low angle first:
2θ (°)  intensity
15.7  37
16.9  100
20.2  18
23.2  50
28.1  58
30.2  48
30.4  39
35.7  16
36.1  17
50.1  25

```
data_CaCoSi2O7
_symmetry_space_group_name_H-M 'P 1 2 1'
_symmetry_Int_Tables_number 3
_cell_length_a 7.9430
_cell_length_b 5.2615
_cell_length_c 7.9715
_cell_angle_alpha 90.00
_cell_angle_beta 90.53
_cell_angle_gamma 90.00
loop_
_symmetry_equiv_pos_as_xyz
'x,y,z'
'-x,y,-z'
loop_
_atom_site_label
_atom_site_type_symbol
_atom_site_fract_x
_atom_site_fract_y
_atom_site_fract_z
_atom_site_occupancy
Ca1 Ca 0.1651 0.0000 0.3273 1
Co1 Co 0.0000 0.4648 0.0000 1
Co2 Co 0.5000 0.4742 0.5000 1
Si1 Si 0.1314 0.5465 0.6343 1
Si2 Si 0.3579 0.4264 0.1419 1
O1 O 0.0000 0.7004 0.5000 1
O2 O 0.0720 0.6507 0.8161 1
O3 O 0.0992 0.2388 0.6002 1
O4 O 0.1807 0.2768 0.0885 1
O5 O 0.3172 0.6467 0.5819 1
O6 O 0.3240 0.7198 0.1891 1
O7 O 0.4096 0.2825 0.3219 1
O8 O 0.5000 0.3806 0.0000 1
```